# 1
The following is a theoretical powder X-ray diffraction pattern of Sr4Al3Ge. It was derived from a structure optimized by DFT (GGA-PBE), using copper Kα.
Peak positions follow from Bragg's law for the DFT cell and can differ from measured ones.

Main lines, sorted by position (2θ = 10–90°):
d [Å]  2θ/deg  intensity
3.582  24.86  33
3.161  28.23  100
3.091  28.88  59
2.539  35.35  43
2.418  37.19  28
1.807  50.52  24

Atomic structure:
```
Sr4Al3Ge
1.0
4.453 0.000 0.000
0.000 4.836 0.000
0.000 0.000 12.059
Sr Al Ge
4 3 1
Cartesian
0.000 0.000 0.000 Sr
0.000 2.418 5.919 Sr
2.226 0.000 8.554 Sr
2.226 2.418 2.562 Sr
0.000 2.418 9.597 Al
2.226 0.000 4.951 Al
2.226 2.418 11.005 Al
0.000 0.000 3.437 Ge
```



# 2
The following is a theoretical powder X-ray diffraction pattern of Tb2Er8Tm. It was derived from a structure optimized by DFT (GGA-PBE), using copper Kα.
Peak positions follow from Bragg's law for the DFT cell and can differ from measured ones.

Main lines, sorted by position (2θ = 10–90°):
d [Å]  2θ/deg  intensity
2.926  30.56  73
2.893  30.91  35
2.818  31.76  100
2.773  32.28  43
2.713  33.02  66
1.506  61.57  29

Atomic structure:
```
Tb2Er8Tm
1.0
4.474 -8.065 0.000
4.474 8.065 0.000
-3.329 0.000 4.763
Tb Er Tm
2 8 1
Cartesian
4.474 4.978 0.000 Tb
4.474 -4.978 0.000 Tb
-0.409 0.000 1.392 Er
-0.181 1.934 3.872 Er
2.810 3.300 2.382 Er
-0.181 -1.934 3.872 Er
5.801 1.934 0.891 Er
2.810 -3.300 2.382 Er
5.801 -1.934 0.891 Er
6.029 0.000 3.371 Er
2.810 0.000 2.382 Tm
```



# 3
The following is a theoretical powder X-ray diffraction pattern of Tb3Pm7Tm. It was derived from a structure optimized by DFT (GGA-PBE), using copper Kα.
Peak positions follow from Bragg's law for the DFT cell and can differ from measured ones.

Main lines, sorted by position (2θ = 10–90°):
d [Å]  2θ/deg  intensity
2.922  30.60  100
2.895  30.88  32
2.524  35.56  67
1.791  50.99  24
1.779  51.36  23
1.523  60.81  28

Atomic structure:
```
Tb3Pm7Tm
1.0
7.165 0.000 0.000
-3.582 6.205 0.000
0.000 0.000 8.686
Tb Pm Tm
3 7 1
Cartesian
-1.785 3.106 0.000 Tb
1.785 3.106 0.000 Tb
0.000 6.197 0.000 Tb
0.000 2.078 5.810 Pm
-1.783 5.166 5.810 Pm
1.799 1.038 2.844 Pm
1.783 5.166 5.810 Pm
3.582 2.068 5.722 Pm
5.366 1.038 2.844 Pm
3.582 4.128 2.844 Pm
0.000 4.137 2.924 Tm
```